[1]
Theoretical powder diffractogram of LiW2O4 for Cu Kα (λ = 1.5418 Å), from DFT lattice parameters and positions (GGA+U).
Peak positions follow from Bragg's law for the DFT cell and can differ from measured ones.

Lattice parameters (Å, degrees): 9.006 9.006 9.006 90.00 90.00 90.00
Space group Fd-3m (No. 227, origin choice 2)
Symmetry-distinct sites (fractional):
Li  0.125  0.125  0.125 (multiplicity 8)
W  0.000  0.000  0.500 (multiplicity 16)
O  0.012  0.012  0.738 (multiplicity 32)

Main lines, low angle first (2θ = 10–90°):
index	2θ (°)	I/Imax
1 1 1	17.05	100.0
3 1 1	32.99	58.1
2 2 2	34.50	45.8
4 0 0	40.05	45.4
5 1 1	52.82	23.0
4 4 0	57.92	30.9



[2]
Theoretical powder diffractogram of Li8WO6 for Cu Kα (λ = 1.5418 Å), from DFT lattice parameters and positions (GGA+U).
Peak positions follow from Bragg's law for the DFT cell and can differ from measured ones.

Lattice parameters (Å, degrees): 5.5228 5.5228 15.5251 90.00 90.00 120.00
Space group R-3 (No. 148, hexagonal axes)
Symmetry-distinct sites (fractional):
Li  0.0000  0.0000  0.1558 (multiplicity 6)
Li  0.0182  0.6442  0.3806 (multiplicity 18)
W  0.0000  0.0000  0.5000 (multiplicity 3)
O  0.0120  0.6992  0.5816 (multiplicity 18)

Main lines, low angle first (2θ = 10–90°):
index	2θ (°)	I/Imax
0 0 3	17.13	40.9
1 0 1	19.42	100.0
0 1 2	21.83	77.8
1 0 4	29.64	31.1
1 1 3	36.90	53.0
1 1 6	48.20	32.7



[3]
Theoretical powder diffractogram of LiWO2 for Cu Kα (λ = 1.5418 Å), from DFT lattice parameters and positions (GGA+U).
Peak positions follow from Bragg's law for the DFT cell and can differ from measured ones.

Lattice parameters (Å, degrees): 3.2623 3.2623 14.6954 90.00 90.00 120.00
Space group R-3m (No. 166, hexagonal axes)
Symmetry-distinct sites (fractional):
Li  0.0000  0.0000  0.0000 (multiplicity 3)
W  0.0000  0.0000  0.5000 (multiplicity 3)
O  0.0000  0.0000  0.2441 (multiplicity 6)

Main lines, low angle first (2θ = 10–90°):
index	2θ (°)	I/Imax
0 0 3	18.11	100.0
1 0 1	32.27	69.4
0 1 2	34.00	46.1
1 0 4	40.27	59.4
0 1 5	44.48	27.5
1 1 0	56.40	26.0



[4]
Theoretical powder diffractogram of LiYW2O8 for Cu Kα (λ = 1.5418 Å), from DFT lattice parameters and positions (GGA+U).
Peak positions follow from Bragg's law for the DFT cell and can differ from measured ones.

Lattice parameters (Å, degrees): 5.100 5.942 11.038 90.00 113.76 90.00
Space group P2/c (No. 13)
Symmetry-distinct sites (fractional):
Li  0.000  0.249  0.250 (multiplicity 2)
Y  0.500  0.178  0.750 (multiplicity 2)
W  0.264  0.327  0.013 (multiplicity 4)
O  0.149  0.389  0.597 (multiplicity 4)
O  0.230  0.135  0.135 (multiplicity 4)
O  0.291  0.128  0.892 (multiplicity 4)
O  0.347  0.416  0.388 (multiplicity 4)

Main lines, low angle first (2θ = 10–90°):
index	2θ (°)	I/Imax
0 0 2	17.56	75.0
1 1 -1	23.01	63.6
0 1 2	23.11	48.2
1 1 1	28.38	100.0
1 1 -3	29.78	84.7
1 2 -1	34.98	40.8



[5]
Theoretical powder diffractogram of Lu2MgV2O8 for Cu Kα (λ = 1.5418 Å), from DFT lattice parameters and positions (GGA+U).
Peak positions follow from Bragg's law for the DFT cell and can differ from measured ones.

Lattice parameters (Å, degrees): 9.423 6.968 6.443 90.00 128.15 90.00
Space group C2 (No. 5)
Symmetry-distinct sites (fractional):
Lu  0.207  0.000  0.059 (multiplicity 4)
Mg  0.000  0.232  0.500 (multiplicity 2)
V  0.221  0.464  0.355 (multiplicity 4)
O  0.017  0.456  0.312 (multiplicity 4)
O  0.083  0.025  0.285 (multiplicity 4)
O  0.221  0.799  0.790 (multiplicity 4)
O  0.247  0.682  0.203 (multiplicity 4)

Main lines, low angle first (2θ = 10–90°):
index	2θ (°)	I/Imax
0 0 1	17.50	88.3
2 0 0	24.02	94.6
0 2 0	25.57	100.0
1 1 -2	32.13	88.7
3 1 -2	33.88	88.3
2 2 0	35.37	52.8



[6]
Theoretical powder diffractogram of Lu2Mn3Sb3O14 for Cu Kα (λ = 1.5418 Å), from DFT lattice parameters and positions (GGA+U).
Peak positions follow from Bragg's law for the DFT cell and can differ from measured ones.

Lattice parameters (Å, degrees): 12.474 7.307 7.202 90.00 124.62 90.00
Space group C2/m (No. 12)
Symmetry-distinct sites (fractional):
Lu  0.000  0.000  0.000 (multiplicity 2)
Lu  0.000  0.000  0.500 (multiplicity 2)
Mn  0.000  0.500  0.000 (multiplicity 2)
Mn  0.250  0.250  0.500 (multiplicity 4)
Sb  0.000  0.500  0.500 (multiplicity 2)
Sb  0.250  0.250  0.000 (multiplicity 4)
O  0.077  0.500  0.323 (multiplicity 4)
O  0.121  0.290  0.667 (multiplicity 8)
O  0.124  0.000  0.375 (multiplicity 4)
O  0.124  0.281  0.077 (multiplicity 8)
O  0.167  0.000  0.907 (multiplicity 4)

Main lines, low angle first (2θ = 10–90°):
index	2θ (°)	I/Imax
2 2 0	30.02	100.0
0 0 2	30.16	49.2
4 0 -2	30.48	48.5
4 0 0	34.98	59.7
2 2 2	50.08	32.1
6 2 -2	50.51	30.8



[7]
Theoretical powder diffractogram of Na5LuMo4O16 for Cu Kα (λ = 1.5418 Å), from DFT lattice parameters and positions (GGA+U).
Peak positions follow from Bragg's law for the DFT cell and can differ from measured ones.

Lattice parameters (Å, degrees): 11.499 11.499 11.486 90.00 90.00 90.00
Space group I4_1/a (No. 88, origin choice 2)
Symmetry-distinct sites (fractional):
Na  0.000  0.250  0.125 (multiplicity 4)
Na  0.120  0.046  0.844 (multiplicity 16)
Lu  0.000  0.250  0.625 (multiplicity 4)
Mo  0.092  0.068  0.364 (multiplicity 16)
O  0.031  0.398  0.274 (multiplicity 16)
O  0.061  0.359  0.786 (multiplicity 16)
O  0.081  0.426  0.563 (multiplicity 16)
O  0.178  0.466  0.977 (multiplicity 16)

Main lines, low angle first (2θ = 10–90°):
index	2θ (°)	I/Imax
1 0 1	10.89	49.3
1 2 1	18.91	24.3
3 0 1	24.49	26.1
1 3 2	29.07	100.0
4 2 4	47.46	22.8
7 1 2	59.04	19.7



[8]
Theoretical powder diffractogram of Lu2Mo4O15 for Cu Kα (λ = 1.5418 Å), from DFT lattice parameters and positions (GGA+U).
Peak positions follow from Bragg's law for the DFT cell and can differ from measured ones.

Lattice parameters (Å, degrees): 6.841 9.588 10.587 90.00 104.90 90.00
Space group P2_1/c (No. 14)
Symmetry-distinct sites (fractional):
Lu  0.210  0.023  0.275 (multiplicity 4)
Mo  0.081  0.743  0.011 (multiplicity 4)
Mo  0.378  0.096  0.843 (multiplicity 4)
O  0.026  0.125  0.396 (multiplicity 4)
O  0.117  0.055  0.815 (multiplicity 4)
O  0.117  0.165  0.103 (multiplicity 4)
O  0.221  0.649  0.917 (multiplicity 4)
O  0.244  0.634  0.620 (multiplicity 4)
O  0.385  0.219  0.351 (multiplicity 4)
O  0.451  0.027  0.706 (multiplicity 4)
O  0.500  0.000  0.000 (multiplicity 2)

Main lines, low angle first (2θ = 10–90°):
index	2θ (°)	I/Imax
1 1 1	20.03	61.6
1 1 -2	21.17	33.2
0 2 2	25.46	100.0
1 2 -2	26.65	43.6
2 1 -1	27.75	35.9
2 0 -2	28.12	33.9



[9]
Theoretical powder diffractogram of LuNiO3 for Cu Kα (λ = 1.5418 Å), from DFT lattice parameters and positions (GGA+U).
Peak positions follow from Bragg's law for the DFT cell and can differ from measured ones.

Lattice parameters (Å, degrees): 5.135 5.524 8.979 90.00 124.67 90.00
Space group P2_1/c (No. 14)
Symmetry-distinct sites (fractional):
Lu  0.227  0.079  0.249 (multiplicity 4)
Ni  0.000  0.000  0.500 (multiplicity 2)
Ni  0.500  0.000  0.000 (multiplicity 2)
O  0.139  0.186  0.945 (multiplicity 4)
O  0.257  0.699  0.940 (multiplicity 4)
O  0.371  0.040  0.755 (multiplicity 4)

Main lines, low angle first (2θ = 10–90°):
index	2θ (°)	I/Imax
1 1 -2	26.60	30.4
1 1 -3	34.03	100.0
0 2 1	34.67	19.6
2 0 -2	34.95	25.4
1 3 0	54.37	22.0
2 0 -6	62.01	20.3



[10]
Theoretical powder diffractogram of LuNiO3 for Cu Kα (λ = 1.5418 Å), from DFT lattice parameters and positions (GGA+U).
Peak positions follow from Bragg's law for the DFT cell and can differ from measured ones.

Lattice parameters (Å, degrees): 5.629 7.318 5.101 90.00 90.00 90.00
Space group Pnma (No. 62)
Symmetry-distinct sites (fractional):
Lu  0.087  0.250  0.027 (multiplicity 4)
Ni  0.000  0.000  0.500 (multiplicity 4)
O  0.039  0.750  0.379 (multiplicity 4)
O  0.185  0.558  0.806 (multiplicity 8)

Main lines, low angle first (2θ = 10–90°):
index	2θ (°)	I/Imax
1 1 1	26.54	30.9
1 2 1	34.11	100.0
0 0 2	35.19	20.0
0 4 0	49.83	28.1
3 1 1	53.52	18.6
0 4 2	62.45	24.8